1.
Simulated powder XRD pattern
Compound: LuHfIr2
Radiation: copper Kα
Structure: a structure optimized by DFT (GGA-PBE)
Intensities are scaled so that the largest is 1000.

Atomic structure:
```
LuHfIr2
1.0
6.6342 0.0000 0.0000
0.0000 6.6342 0.0000
0.0000 0.0000 6.6342
Lu Hf Ir
4 4 8
direct
0.0000 0.0000 0.0000
0.0000 0.5000 0.5000
0.5000 0.0000 0.5000
0.5000 0.5000 0.0000
0.0000 0.0000 0.5000
0.0000 0.5000 0.0000
0.5000 0.0000 0.0000
0.5000 0.5000 0.5000
0.2500 0.2500 0.2500
0.2500 0.2500 0.7500
0.2500 0.7500 0.2500
0.2500 0.7500 0.7500
0.7500 0.2500 0.2500
0.7500 0.2500 0.7500
0.7500 0.7500 0.2500
0.7500 0.7500 0.7500
```

Top 4 peaks for 10° ≤ 2θ ≤ 90°, sorted by position:
- 38.38 deg, intensity 1000
- 55.40 deg, intensity 175
- 69.40 deg, intensity 358
- 82.20 deg, intensity 114

2.
Simulated powder XRD pattern
Compound: Hf2MnIr
Radiation: copper Kα
Structure: a structure optimized by DFT (GGA-PBE)
Intensities are scaled so that the largest is 1000.

Atomic structure:
```
Hf2MnIr
1.0
6.4476 0.0000 0.0000
0.0000 6.4476 0.0000
0.0000 0.0000 6.4476
Hf Mn Ir
8 4 4
direct
0.2500 0.2500 0.2500
0.2500 0.2500 0.7500
0.2500 0.7500 0.2500
0.2500 0.7500 0.7500
0.7500 0.2500 0.2500
0.7500 0.2500 0.7500
0.7500 0.7500 0.2500
0.7500 0.7500 0.7500
0.0000 0.0000 0.0000
0.0000 0.5000 0.5000
0.5000 0.0000 0.5000
0.5000 0.5000 0.0000
0.0000 0.0000 0.5000
0.0000 0.5000 0.0000
0.5000 0.0000 0.0000
0.5000 0.5000 0.5000
```

Top 10 peaks for 10° ≤ 2θ ≤ 90°, sorted by position:
- 23.90 deg, intensity 118
- 27.67 deg, intensity 40
- 39.53 deg, intensity 1000
- 46.73 deg, intensity 64
- 57.14 deg, intensity 171
- 62.82 deg, intensity 28
- 64.65 deg, intensity 16
- 71.71 deg, intensity 347
- 76.82 deg, intensity 21
- 85.12 deg, intensity 112

3.
Simulated powder XRD pattern
Compound: Hf2NiIr
Radiation: copper Kα
Structure: a structure optimized by DFT (GGA-PBE)
Intensities are scaled so that the largest is 1000.

Atomic structure:
```
Hf2NiIr
1.0
6.4706 0.0000 0.0000
0.0000 6.4706 0.0000
0.0000 0.0000 6.4706
Hf Ni Ir
8 4 4
direct
0.2500 0.2500 0.2500
0.2500 0.2500 0.7500
0.2500 0.7500 0.2500
0.2500 0.7500 0.7500
0.7500 0.2500 0.2500
0.7500 0.2500 0.7500
0.7500 0.7500 0.2500
0.7500 0.7500 0.7500
0.0000 0.0000 0.0000
0.0000 0.5000 0.5000
0.5000 0.0000 0.5000
0.5000 0.5000 0.0000
0.0000 0.0000 0.5000
0.0000 0.5000 0.0000
0.5000 0.0000 0.0000
0.5000 0.5000 0.5000
```

Top 10 peaks for 10° ≤ 2θ ≤ 90°, sorted by position:
- 23.82 deg, intensity 99
- 27.57 deg, intensity 33
- 39.39 deg, intensity 1000
- 46.55 deg, intensity 53
- 56.92 deg, intensity 171
- 62.57 deg, intensity 23
- 71.42 deg, intensity 348
- 76.50 deg, intensity 18
- 84.75 deg, intensity 112
- 89.63 deg, intensity 20

4.
Simulated powder XRD pattern
Compound: Hf2IrPd
Radiation: copper Kα
Structure: a structure optimized by DFT (GGA-PBE)
Intensities are scaled so that the largest is 1000.

Atomic structure:
```
Hf2IrPd
1.0
6.6035 0.0000 0.0000
0.0000 6.6035 0.0000
0.0000 0.0000 6.6035
Hf Ir Pd
8 4 4
direct
0.2500 0.2500 0.2500
0.2500 0.2500 0.7500
0.2500 0.7500 0.2500
0.2500 0.7500 0.7500
0.7500 0.2500 0.2500
0.7500 0.2500 0.7500
0.7500 0.7500 0.2500
0.7500 0.7500 0.7500
0.0000 0.0000 0.0000
0.0000 0.5000 0.5000
0.5000 0.0000 0.5000
0.5000 0.5000 0.0000
0.0000 0.0000 0.5000
0.0000 0.5000 0.0000
0.5000 0.0000 0.0000
0.5000 0.5000 0.5000
```

Top 10 peaks for 10° ≤ 2θ ≤ 90°, sorted by position:
- 23.33 deg, intensity 35
- 27.01 deg, intensity 9
- 38.56 deg, intensity 1000
- 45.56 deg, intensity 20
- 55.68 deg, intensity 173
- 61.18 deg, intensity 9
- 69.77 deg, intensity 353
- 74.69 deg, intensity 7
- 82.66 deg, intensity 113
- 87.37 deg, intensity 7

5.
Simulated powder XRD pattern
Compound: HfSnIr
Radiation: copper Kα
Structure: a structure optimized by DFT (GGA-PBE)
Intensities are scaled so that the largest is 1000.

Atomic structure:
```
HfSnIr
1.0
7.3583 0.0000 0.0000
-3.6791 6.3725 0.0000
0.0000 0.0000 3.7075
Hf Sn Ir
3 3 3
direct
0.0000 0.6046 0.0000
0.3954 0.3954 0.0000
0.6046 0.0000 0.0000
0.0000 0.2674 0.5000
0.2674 0.0000 0.5000
0.7326 0.7326 0.5000
0.0000 0.0000 0.0000
0.3333 0.6667 0.5000
0.6667 0.3333 0.5000
```

Top 10 peaks for 10° ≤ 2θ ≤ 90°, sorted by position:
- 34.34 deg, intensity 1000
- 37.21 deg, intensity 922
- 37.33 deg, intensity 322
- 42.56 deg, intensity 645
- 44.88 deg, intensity 377
- 49.15 deg, intensity 261
- 63.31 deg, intensity 142
- 67.00 deg, intensity 343
- 69.06 deg, intensity 380
- 79.55 deg, intensity 213

6.
Simulated powder XRD pattern
Compound: KLaHfNbO6
Radiation: copper Kα
Structure: a structure optimized by DFT (GGA-PBE)
Intensities are scaled so that the largest is 1000.

Atomic structure:
```
KLaHfNbO6
1.0
0.0000 4.1025 4.1025
4.1025 0.0000 4.1025
4.1025 4.1025 0.0000
K La Hf Nb O
1 1 1 1 6
direct
0.0000 0.0000 0.0000
0.5000 0.5000 0.5000
0.2500 0.2500 0.2500
0.7500 0.7500 0.7500
0.5022 0.5022 0.9978
0.5022 0.9978 0.5022
0.5022 0.9978 0.9978
0.9978 0.5022 0.5022
0.9978 0.5022 0.9978
0.9978 0.9978 0.5022
```

Top 10 peaks for 10° ≤ 2θ ≤ 90°, sorted by position:
- 18.73 deg, intensity 191
- 21.66 deg, intensity 117
- 30.82 deg, intensity 1000
- 36.31 deg, intensity 118
- 44.15 deg, intensity 314
- 54.81 deg, intensity 398
- 64.21 deg, intensity 191
- 72.92 deg, intensity 171
- 81.23 deg, intensity 63
- 89.35 deg, intensity 211

7.
Simulated powder XRD pattern
Compound: KLaHf4O12
Radiation: copper Kα
Structure: a structure optimized by DFT (GGA-PBE)
Intensities are scaled so that the largest is 1000.

Atomic structure:
```
KLaHf4O12
1.0
8.2973 0.0000 0.0000
0.0000 4.1067 4.0614
0.0000 -4.1067 4.0614
K La Hf O
1 1 4 12
direct
0.0000 0.0000 0.0000
0.5000 0.5057 0.5057
0.2426 0.0025 0.5005
0.2426 0.5005 0.0025
0.7574 0.0025 0.5005
0.7574 0.5005 0.0025
0.0000 0.5186 0.9909
0.0000 0.9909 0.5186
0.2417 0.2306 0.2306
0.2804 0.2789 0.7249
0.2804 0.7249 0.2789
0.2910 0.7477 0.7477
0.5000 0.0494 0.4797
0.5000 0.4797 0.0494
0.7090 0.7477 0.7477
0.7196 0.2789 0.7249
0.7196 0.7249 0.2789
0.7583 0.2306 0.2306
```

Top 10 peaks for 10° ≤ 2θ ≤ 90°, sorted by position:
- 18.72 deg, intensity 348
- 21.42 deg, intensity 629
- 21.64 deg, intensity 624
- 21.88 deg, intensity 622
- 30.63 deg, intensity 1000
- 30.81 deg, intensity 985
- 30.97 deg, intensity 983
- 54.46 deg, intensity 432
- 54.76 deg, intensity 427
- 55.10 deg, intensity 402

8.
Simulated powder XRD pattern
Compound: KLaHf2O6
Radiation: copper Kα
Structure: a structure optimized by DFT (GGA-PBE)
Intensities are scaled so that the largest is 1000.

Atomic structure:
```
KLaHf2O6
1.0
0.0000 4.1311 4.1311
4.1311 0.0000 4.1311
4.1311 4.1311 0.0000
K La Hf O
1 1 2 6
direct
0.0000 0.0000 0.0000
0.5000 0.5000 0.5000
0.2500 0.2500 0.2500
0.7500 0.7500 0.7500
0.0000 0.0000 0.5000
0.0000 0.5000 0.0000
0.0000 0.5000 0.5000
0.5000 0.0000 0.0000
0.5000 0.0000 0.5000
0.5000 0.5000 0.0000
```

Top 10 peaks for 10° ≤ 2θ ≤ 90°, sorted by position:
- 18.60 deg, intensity 82
- 21.51 deg, intensity 210
- 30.60 deg, intensity 1000
- 43.83 deg, intensity 295
- 49.33 deg, intensity 94
- 54.40 deg, intensity 405
- 63.72 deg, intensity 183
- 72.33 deg, intensity 175
- 80.55 deg, intensity 61
- 88.57 deg, intensity 216

Repeat the seventh record exactly.
Simulated powder XRD pattern
Compound: KLaHf4O12
Radiation: copper Kα
Structure: a structure optimized by DFT (GGA-PBE)
Intensities are scaled so that the largest is 1000.

Atomic structure:
```
KLaHf4O12
1.0
8.2973 0.0000 0.0000
0.0000 4.1067 4.0614
0.0000 -4.1067 4.0614
K La Hf O
1 1 4 12
direct
0.0000 0.0000 0.0000
0.5000 0.5057 0.5057
0.2426 0.0025 0.5005
0.2426 0.5005 0.0025
0.7574 0.0025 0.5005
0.7574 0.5005 0.0025
0.0000 0.5186 0.9909
0.0000 0.9909 0.5186
0.2417 0.2306 0.2306
0.2804 0.2789 0.7249
0.2804 0.7249 0.2789
0.2910 0.7477 0.7477
0.5000 0.0494 0.4797
0.5000 0.4797 0.0494
0.7090 0.7477 0.7477
0.7196 0.2789 0.7249
0.7196 0.7249 0.2789
0.7583 0.2306 0.2306
```

Top 10 peaks for 10° ≤ 2θ ≤ 90°, sorted by position:
- 18.72 deg, intensity 348
- 21.42 deg, intensity 629
- 21.64 deg, intensity 624
- 21.88 deg, intensity 622
- 30.63 deg, intensity 1000
- 30.81 deg, intensity 985
- 30.97 deg, intensity 983
- 54.46 deg, intensity 432
- 54.76 deg, intensity 427
- 55.10 deg, intensity 402